For GaCo2F2, a cell relaxed with GGA+U gives the computed powder diffraction line list in this record (Cu Ka).

Main lines, sorted by position (2θ from 10° to 80°):
2theta	I_rel	h k l
29.5	29	2 1 0
37.6	52	2 2 0
37.8	29	1 1 1
42.3	74	3 1 0
42.4	100	2 0 1
44.6	78	2 1 1
66.4	25	4 1 1
68.0	23	3 3 1

Atomic structure:
```
GaCo2F2
1.0
6.764 0.000 0.000
0.000 6.764 0.000
0.000 0.000 2.746
Ga Co F
2 4 4
Cartesian
0.000 0.000 0.000
3.382 3.382 0.000
1.271 2.111 1.373
2.111 5.493 1.373
4.653 1.271 1.373
5.493 4.653 1.373
0.876 4.258 0.000
2.506 0.876 0.000
4.258 5.888 0.000
5.888 2.506 0.000
```